This entry pairs a crystal structure of Zn2Cd2GaPt5 with its calculated XRD peak list. Radiation: copper Kα. Structure: a crystal structure in Alexandria, relaxed with GGA-PBE.
No peak broadening, texture or thermal motion is included.

Crystal structure
Cell: 9.409 9.409 3.749 Å, 90.00 90.00 90.00°
Space group P4/mbm (No. 127)
Symmetry-distinct sites (fractional):
Zn 0.128 0.372 0.000 (multiplicity 4)
Cd 0.170 0.670 0.000 (multiplicity 4)
Ga 0.000 0.000 0.000 (multiplicity 2)
Pt 0.000 0.500 0.500 (multiplicity 2)
Pt 0.081 0.192 0.500 (multiplicity 8)

Peak list (8 most intense, 2θ = 10–90°, by angle)
hkl	2θ/deg	d [Å]	I (rel.)
0 0 1	23.73	3.749	20
2 1 1	31.97	2.799	19
3 1 1	38.63	2.331	100
4 1 0	39.49	2.282	40
3 2 1	42.19	2.142	38
4 2 0	42.99	2.104	15
0 0 2	48.56	1.875	23
4 1 2	64.31	1.448	21